Record 1
For Na2Cu2PtO6, a GGA-PBE-relaxed structure gives the simulated powder diffractogram in this record (Cu Kα, 1.54184 Å).
Kinematic intensities with the Lorentz-polarization factor, no thermal factor.

Top 10 peaks for 5° ≤ 2θ ≤ 70°, low angle first:
- d 5.560, rel. 100.0
- d 4.532, rel. 16.3
- d 3.513, rel. 41.3
- d 2.780, rel. 16.5
- d 2.617, rel. 48.7
- d 2.368, rel. 57.7
- d 2.099, rel. 10.4
- d 1.905, rel. 60.2
- d 1.512, rel. 33.7
- d 1.458, rel. 17.4

Structure:
```
Na2Cu2PtO6
1.0
5.2337 0.0000 0.0000
-2.6168 4.5325 0.0000
0.0000 0.0000 5.5597
Na Cu Pt O
2 2 1 6
Direct
0.3333 0.6667 0.0000
0.6667 0.3333 0.0000
0.3333 0.6667 0.5000
0.6667 0.3333 0.5000
0.0000 0.0000 0.5000
0.0000 0.3331 0.3107
0.0000 0.6669 0.6893
0.3331 0.0000 0.3107
0.3331 0.3331 0.6893
0.6669 0.0000 0.6893
0.6669 0.6669 0.3107
```

Record 2
For Tl5Sn2Hg6, a GGA-PBE-relaxed structure gives the simulated powder diffractogram in this record (Cu Kα, 1.54184 Å).
Kinematic intensities with the Lorentz-polarization factor, no thermal factor.

Top 10 peaks for 5° ≤ 2θ ≤ 70°, low angle first:
- d 7.485, rel. 74.5
- d 4.463, rel. 27.8
- d 3.833, rel. 53.9
- d 2.963, rel. 29.0
- d 2.868, rel. 44.2
- d 2.577, rel. 100.0
- d 2.468, rel. 20.2
- d 2.436, rel. 31.1
- d 2.160, rel. 26.6
- d 1.488, rel. 21.1

Structure:
```
Tl5Sn2Hg6
1.0
4.4629 2.5766 7.4848
-4.4629 2.5766 7.4848
0.0000 -5.1533 7.4848
Tl Sn Hg
5 2 6
Direct
0.0000 0.0000 0.0000
0.2733 0.2733 0.2733
0.4186 0.4186 0.4186
0.5814 0.5814 0.5814
0.7267 0.7267 0.7267
0.1316 0.1316 0.1316
0.8684 0.8684 0.8684
0.1722 0.5000 0.8278
0.1722 0.8278 0.5000
0.5000 0.1722 0.8278
0.5000 0.8278 0.1722
0.8278 0.1722 0.5000
0.8278 0.5000 0.1722
```

Record 3
For RbTbMg2Cl8, a GGA-PBE-relaxed structure gives the simulated powder diffractogram in this record (Cu Kα, 1.54184 Å).
Kinematic intensities with the Lorentz-polarization factor, no thermal factor.

Top 10 peaks for 5° ≤ 2θ ≤ 70°, low angle first:
- d 6.279, rel. 86.5
- d 5.670, rel. 38.6
- d 5.573, rel. 37.9
- d 4.965, rel. 100.0
- d 4.052, rel. 51.4
- d 3.985, rel. 42.3
- d 3.063, rel. 59.5
- d 3.001, rel. 53.7
- d 2.950, rel. 55.7
- d 2.026, rel. 35.8

Structure:
```
RbTbMg2Cl8
1.0
6.5614 0.0000 0.0000
1.6067 6.4148 0.0000
2.0214 1.7778 8.7629
Rb Tb Mg Cl
1 1 2 8
Direct
0.0000 0.0000 0.0000
0.0000 0.0000 0.5000
0.4594 0.4506 0.2096
0.5406 0.5494 0.7904
0.1874 0.7262 0.7248
0.2391 0.7779 0.2914
0.2868 0.2395 0.4456
0.3647 0.3119 0.0196
0.6353 0.6881 0.9804
0.7132 0.7605 0.5544
0.7609 0.2221 0.7086
0.8126 0.2738 0.2752
```

Record 4
For Pt5Se4, a GGA-PBE-relaxed structure gives the simulated powder diffractogram in this record (Cu Kα, 1.54184 Å).
Kinematic intensities with the Lorentz-polarization factor, no thermal factor.

Top 10 peaks for 5° ≤ 2θ ≤ 70°, low angle first:
- d 5.527, rel. 47.9
- d 3.323, rel. 53.0
- d 2.984, rel. 83.7
- d 2.816, rel. 73.3
- d 2.708, rel. 45.5
- d 2.682, rel. 49.9
- d 2.512, rel. 65.7
- d 1.917, rel. 47.8
- d 1.902, rel. 100.0
- d 1.843, rel. 76.2

Structure:
```
Pt5Se4
1.0
6.6603 0.0000 0.0000
0.0000 4.6999 0.0000
-2.2099 0.0000 11.0549
Pt Se
10 8
Direct
0.0000 0.0000 0.0000
0.0000 0.5000 0.5000
0.2230 0.1631 0.6733
0.2230 0.3369 0.1733
0.3316 0.6678 0.0022
0.3316 0.8322 0.5022
0.6684 0.1678 0.4978
0.6684 0.3322 0.9978
0.7770 0.6631 0.8267
0.7770 0.8369 0.3267
0.0888 0.1349 0.3621
0.0888 0.3651 0.8621
0.4858 0.5375 0.3559
0.4858 0.9625 0.8559
0.5142 0.0375 0.1441
0.5142 0.4625 0.6441
0.9112 0.6349 0.1379
0.9112 0.8651 0.6379
```

Record 5
For Nd12GaCo6, a GGA-PBE-relaxed structure gives the simulated powder diffractogram in this record (Cu Kα, 1.54184 Å).
Kinematic intensities with the Lorentz-polarization factor, no thermal factor.

Top 10 peaks for 5° ≤ 2θ ≤ 70°, low angle first:
- d 3.148, rel. 43.9
- d 2.874, rel. 50.2
- d 2.661, rel. 100.0
- d 2.489, rel. 18.3
- d 1.953, rel. 23.2
- d 1.707, rel. 38.6
- d 1.659, rel. 12.8
- d 1.615, rel. 35.7
- d 1.408, rel. 19.0
- d 1.355, rel. 10.2

Structure:
```
Nd12GaCo6
1.0
-4.9781 4.9781 4.9781
4.9781 -4.9781 4.9781
4.9781 4.9781 -4.9781
Nd Ga Co
12 1 6
Direct
0.1116 0.8080 0.3036
0.1920 0.3036 0.4956
0.1920 0.6964 0.8884
0.3036 0.1116 0.8080
0.3036 0.4956 0.1920
0.4956 0.1920 0.3036
0.5044 0.8080 0.6964
0.6964 0.5044 0.8080
0.6964 0.8884 0.1920
0.8080 0.3036 0.1116
0.8080 0.6964 0.5044
0.8884 0.1920 0.6964
0.0000 0.0000 0.0000
0.1117 0.6117 0.5000
0.3883 0.5000 0.8883
0.5000 0.1117 0.6117
0.5000 0.8883 0.3883
0.6117 0.5000 0.1117
0.8883 0.3883 0.5000
```

Record 6
For Pr2SbSe6, a GGA-PBE-relaxed structure gives the simulated powder diffractogram in this record (Cu Kα, 1.54184 Å).
Kinematic intensities with the Lorentz-polarization factor, no thermal factor.

Top 10 peaks for 5° ≤ 2θ ≤ 70°, low angle first:
- d 4.746, rel. 100.0
- d 3.660, rel. 30.9
- d 3.213, rel. 62.7
- d 3.002, rel. 23.2
- d 2.474, rel. 95.5
- d 2.373, rel. 37.4
- d 2.183, rel. 21.8
- d 1.991, rel. 57.8
- d 1.983, rel. 18.8
- d 1.607, rel. 20.9

Structure:
```
Pr2SbSe6
1.0
6.7123 0.0000 0.0000
0.0000 6.7123 0.0000
0.0000 0.0000 13.0994
Pr Sb Se
4 2 12
Direct
0.0000 0.0000 0.1639
0.0000 0.0000 0.8361
0.5000 0.5000 0.3361
0.5000 0.5000 0.6639
0.0000 0.0000 0.5000
0.5000 0.5000 0.0000
0.1872 0.1872 0.3462
0.1872 0.1872 0.6538
0.2139 0.2139 0.0000
0.2861 0.7139 0.5000
0.3128 0.6872 0.1538
0.3128 0.6872 0.8462
0.6872 0.3128 0.1538
0.6872 0.3128 0.8462
0.7139 0.2861 0.5000
0.7861 0.7861 0.0000
0.8128 0.8128 0.3462
0.8128 0.8128 0.6538
```

Record 7
For Te2AuSe, a GGA-PBE-relaxed structure gives the simulated powder diffractogram in this record (Cu Kα, 1.54184 Å).
Kinematic intensities with the Lorentz-polarization factor, no thermal factor.

Top 10 peaks for 5° ≤ 2θ ≤ 70°, low angle first:
- d 5.675, rel. 24.7
- d 3.361, rel. 78.0
- d 2.838, rel. 100.0
- d 2.191, rel. 48.2
- d 2.146, rel. 45.3
- d 2.009, rel. 18.6
- d 2.004, rel. 18.4
- d 1.725, rel. 23.0
- d 1.460, rel. 13.2
- d 1.419, rel. 12.7

Structure:
```
Te2AuSe
1.0
4.0091 -4.0186 0.0000
4.0091 4.0186 0.0000
-0.1004 0.0000 3.3610
Te Au Se
2 1 1
Direct
0.0000 0.5000 0.0000
0.5000 0.0000 0.0000
0.0000 0.0000 0.0000
0.5000 0.5000 0.0000
```

Record 8
For LaZnSi, a GGA-PBE-relaxed structure gives the simulated powder diffractogram in this record (Cu Kα, 1.54184 Å).
Kinematic intensities with the Lorentz-polarization factor, no thermal factor.

Top 10 peaks for 5° ≤ 2θ ≤ 70°, low angle first:
- d 3.654, rel. 21.0
- d 2.804, rel. 100.0
- d 2.186, rel. 13.1
- d 2.110, rel. 35.3
- d 1.876, rel. 6.7
- d 1.827, rel. 3.1
- d 1.686, rel. 21.6
- d 1.518, rel. 24.2
- d 1.402, rel. 2.6
- d 1.353, rel. 10.3

Structure:
```
LaZnSi
1.0
4.2210 0.0000 0.0000
0.0000 4.3714 0.0000
0.0000 0.0000 7.3047
La Zn Si
2 2 2
Direct
0.0000 0.0000 0.0000
0.5000 0.0000 0.5000
0.0000 0.5000 0.3297
0.0000 0.5000 0.6703
0.5000 0.5000 0.1630
0.5000 0.5000 0.8370
```